# 1
Computed XRD peak list
Compound: PaBe2H6
Radiation: Cu Kα (weighted mean of Kα1 and Kα2)
Structure: a crystal structure in Alexandria, relaxed with PBE

Structural model:
Cell: 3.7420 4.0880 4.5518 Å, 69.96 87.86 89.80°
Fractional positions:
Pa  0.0000  0.0000  0.0000
Be  0.4473  0.6845  0.6208
Be  0.5527  0.3155  0.3792
H  0.0683  0.6101  0.7376
H  0.4572  0.6924  0.2868
H  0.4823  0.1910  0.1210
H  0.5177  0.8090  0.8790
H  0.5428  0.3076  0.7132
H  0.9317  0.3899  0.2624

Largest 10 diffraction maxima, sorted by position, 10° ≤ 2θ ≤ 80°:
- 20.79°, 4.273 Å, I 100
- 23.16°, 3.840 Å, I 78
- 23.80°, 3.739 Å, I 67
- 25.32°, 3.518 Å, I 65
- 31.17°, 2.869 Å, I 44
- 32.42°, 2.762 Å, I 38
- 33.28°, 2.692 Å, I 33
- 33.62°, 2.666 Å, I 36
- 35.42°, 2.534 Å, I 31
- 44.60°, 2.032 Å, I 31

# 2
Computed XRD peak list
Compound: Pa2Be16H
Radiation: Cu Kα (weighted mean of Kα1 and Kα2)
Structure: a crystal structure in Alexandria, relaxed with PBE

Structural model:
Cell: 5.8576 5.8576 5.8576 Å, 82.89 82.89 82.89°
Fractional positions:
Pa  0.0000  0.0000  0.0000
Pa  0.3157  0.3157  0.3157
Be  0.1575  0.6561  0.6561
Be  0.3215  0.3215  0.8133
Be  0.3215  0.8133  0.3215
Be  0.3722  0.6553  0.9372
Be  0.3722  0.9372  0.6553
Be  0.5024  0.9957  0.9957
Be  0.5625  0.5625  0.5625
Be  0.6553  0.3722  0.9372
Be  0.6553  0.9372  0.3722
Be  0.6561  0.1575  0.6561
Be  0.6561  0.6561  0.1575
Be  0.8133  0.3215  0.3215
Be  0.9372  0.3722  0.6553
Be  0.9372  0.6553  0.3722
Be  0.9957  0.5024  0.9957
Be  0.9957  0.9957  0.5024
H  0.8137  0.8137  0.8137

Largest 10 diffraction maxima, sorted by position, 10° ≤ 2θ ≤ 80°:
- 15.34°, 5.777 Å, I 74
- 22.94°, 3.877 Å, I 100
- 23.55°, 3.777 Å, I 31
- 27.71°, 3.219 Å, I 22
- 33.11°, 2.706 Å, I 90
- 36.27°, 2.477 Å, I 22
- 40.29°, 2.239 Å, I 29
- 47.20°, 1.926 Å, I 41
- 48.15°, 1.890 Å, I 23
- 68.72°, 1.366 Å, I 32

# 3
Computed XRD peak list
Compound: BeH3Pd6
Radiation: Cu Kα (weighted mean of Kα1 and Kα2)
Structure: a crystal structure in Alexandria, relaxed with PBE

Structural model:
Cell: 2.8349 5.4930 14.8306 Å, 79.63 89.83 75.32°
Fractional positions:
Be  0.0000  0.0000  0.0000
Be  0.0026  0.9953  0.4992
H  0.2747  0.4564  0.0368
H  0.2835  0.4353  0.5430
H  0.2880  0.4381  0.3039
H  0.5045  0.9937  0.7638
H  0.5119  0.9820  0.2539
H  0.7256  0.5459  0.7030
Pd  0.1307  0.7448  0.2309
Pd  0.1375  0.7263  0.7398
Pd  0.3166  0.3616  0.9266
Pd  0.3186  0.3590  0.4297
Pd  0.4384  0.1347  0.1117
Pd  0.4415  0.1216  0.6151
Pd  0.5762  0.8434  0.8950
Pd  0.5786  0.8483  0.3915
Pd  0.6904  0.6271  0.5751
Pd  0.6907  0.6293  0.0783
Pd  0.8761  0.2545  0.2683
Pd  0.8794  0.2391  0.7757

Largest 10 diffraction maxima, sorted by position, 10° ≤ 2θ ≤ 80°:
- 34.45°, 2.603 Å, I 57
- 37.01°, 2.429 Å, I 79
- 37.85°, 2.377 Å, I 53
- 38.52°, 2.337 Å, I 53
- 38.73°, 2.325 Å, I 100
- 41.42°, 2.180 Å, I 82
- 41.57°, 2.172 Å, I 80
- 42.15°, 2.144 Å, I 78
- 42.38°, 2.133 Å, I 75
- 62.27°, 1.491 Å, I 52

# 4
Computed XRD peak list
Compound: PuBeH6Pd
Radiation: Cu Kα (weighted mean of Kα1 and Kα2)
Structure: a crystal structure in Alexandria, relaxed with PBE

Structural model:
Cell: 4.3536 4.3536 4.3664 Å, 90.00 90.00 120.00°
Fractional positions:
Pu  0.0000  0.0000  0.0000
Be  0.3333  0.6667  0.5000
H  0.0242  0.5121  0.2259
H  0.0242  0.5121  0.7741
H  0.4879  0.5121  0.2259
H  0.4879  0.5121  0.7741
H  0.4879  0.9758  0.2259
H  0.4879  0.9758  0.7741
Pd  0.6667  0.3333  0.5000

Largest 10 diffraction maxima, sorted by position, 10° ≤ 2θ ≤ 80°:
- 23.60°, 3.770 Å, I 40
- 31.35°, 2.854 Å, I 100
- 41.36°, 2.183 Å, I 10
- 41.48°, 2.177 Å, I 30
- 48.16°, 1.889 Å, I 14
- 52.90°, 1.731 Å, I 24
- 60.01°, 1.541 Å, I 21
- 65.45°, 1.426 Å, I 11
- 69.19°, 1.358 Å, I 11
- 69.37°, 1.355 Å, I 21

# 5
Computed XRD peak list
Compound: Y2BeHPd
Radiation: Cu Kα (weighted mean of Kα1 and Kα2)
Structure: a crystal structure in Alexandria, relaxed with PBE

Structural model:
Cell: 4.8832 4.8832 3.5526 Å, 90.00 90.00 90.00°
Fractional positions:
Y  0.0000  0.5000  0.0000
Y  0.5000  0.0000  0.0000
Be  0.0000  0.0000  0.5000
H  0.0000  0.0000  0.0000
Pd  0.5000  0.5000  0.5000

Largest 10 diffraction maxima, sorted by position, 10° ≤ 2θ ≤ 80°:
- 18.17°, 4.883 Å, I 33
- 31.13°, 2.873 Å, I 19
- 36.28°, 2.476 Å, I 100
- 36.81°, 2.442 Å, I 49
- 48.96°, 1.860 Å, I 10
- 51.44°, 1.776 Å, I 9
- 53.04°, 1.726 Å, I 17
- 64.92°, 1.436 Å, I 18
- 65.96°, 1.416 Å, I 33
- 77.03°, 1.238 Å, I 11

# 6
Computed XRD peak list
Compound: Pm2BeH
Radiation: Cu Kα (weighted mean of Kα1 and Kα2)
Structure: a crystal structure in Alexandria, relaxed with PBE

Structural model:
Cell: 9.1749 9.1749 9.1749 Å, 21.10 21.10 21.10°
Fractional positions:
Pm  0.1091  0.1091  0.1091
Pm  0.8909  0.8909  0.8909
Be  0.0000  0.0000  0.0000
H  0.5000  0.5000  0.5000

Largest 10 diffraction maxima, sorted by position, 10° ≤ 2θ ≤ 80°:
- 19.80°, 4.484 Å, I 44
- 29.89°, 2.989 Å, I 58
- 30.92°, 2.892 Å, I 97
- 33.56°, 2.670 Å, I 100
- 35.06°, 2.559 Å, I 99
- 41.02°, 2.200 Å, I 37
- 45.95°, 1.975 Å, I 39
- 54.64°, 1.680 Å, I 33
- 57.48°, 1.603 Å, I 25
- 63.53°, 1.464 Å, I 40

# 7
Computed XRD peak list
Compound: PrBe3H9
Radiation: Cu Kα (weighted mean of Kα1 and Kα2)
Structure: a crystal structure in Alexandria, relaxed with PBE

Structural model:
Cell: 6.3710 6.3710 6.8026 Å, 90.00 90.00 104.99°
Fractional positions:
Pr  0.1483  0.1483  0.0000
Pr  0.8517  0.8517  0.5000
Be  0.2476  0.2476  0.5000
Be  0.3179  0.6467  0.5605
Be  0.3533  0.6821  0.9395
Be  0.6467  0.3179  0.4395
Be  0.6821  0.3533  0.0605
Be  0.7524  0.7524  0.0000
H  0.0997  0.1452  0.6563
H  0.1452  0.0997  0.3437
H  0.1561  0.7600  0.5657
H  0.2176  0.4523  0.4507
H  0.2353  0.5060  0.0527
H  0.2400  0.8439  0.9343
H  0.4025  0.5975  0.7500
H  0.4523  0.2176  0.5493
H  0.4940  0.7647  0.4473
H  0.5060  0.2353  0.9473
H  0.5477  0.7824  0.0493
H  0.5975  0.4025  0.2500
H  0.7600  0.1561  0.4343
H  0.7647  0.4940  0.5527
H  0.7824  0.5477  0.9507
H  0.8439  0.2400  0.0657
H  0.8548  0.9003  0.8437
H  0.9003  0.8548  0.1563

Largest 10 diffraction maxima, sorted by position, 10° ≤ 2θ ≤ 80°:
- 14.39°, 6.154 Å, I 52
- 17.55°, 5.054 Å, I 61
- 19.45°, 4.564 Å, I 100
- 26.20°, 3.401 Å, I 30
- 26.45°, 3.370 Å, I 42
- 30.02°, 2.977 Å, I 20
- 31.76°, 2.817 Å, I 58
- 31.92°, 2.804 Å, I 47
- 35.84°, 2.505 Å, I 19
- 49.93°, 1.827 Å, I 24

# 8
Computed XRD peak list
Compound: PrBeH5
Radiation: Cu Kα (weighted mean of Kα1 and Kα2)
Structure: a crystal structure in Alexandria, relaxed with PBE

Structural model:
Cell: 4.4123 4.4123 4.4123 Å, 130.43 115.64 85.34°
Fractional positions:
Pr  0.0000  0.0000  0.0000
Be  0.5000  0.5000  0.0000
H  0.0988  0.3393  0.7595
H  0.4202  0.6607  0.7595
H  0.5000  0.0000  0.5000
H  0.5798  0.3393  0.2405
H  0.9012  0.6607  0.2405

Largest 10 diffraction maxima, sorted by position, 10° ≤ 2θ ≤ 80°:
- 23.37°, 3.806 Å, I 100
- 27.49°, 3.244 Å, I 41
- 27.76°, 3.214 Å, I 66
- 30.76°, 2.907 Å, I 61
- 38.30°, 2.350 Å, I 16
- 41.72°, 2.165 Å, I 53
- 46.20°, 1.965 Å, I 17
- 47.79°, 1.903 Å, I 19
- 47.96°, 1.897 Å, I 32
- 55.21°, 1.664 Å, I 20

# 9
Computed XRD peak list
Compound: RbBeH6Pt
Radiation: Cu Kα (weighted mean of Kα1 and Kα2)
Structure: a crystal structure in Alexandria, relaxed with PBE

Structural model:
Cell: 4.4436 4.4436 6.0088 Å, 90.00 90.00 120.00°
Fractional positions:
Rb  0.0000  0.0000  0.0000
Be  0.3333  0.6667  0.5000
H  0.0063  0.4009  0.6664
H  0.0063  0.6054  0.3336
H  0.3946  0.4009  0.3336
H  0.3946  0.9937  0.6664
H  0.5991  0.6054  0.6664
H  0.5991  0.9937  0.3336
Pt  0.6667  0.3333  0.5000

Largest 10 diffraction maxima, sorted by position, 10° ≤ 2θ ≤ 80°:
- 14.74°, 6.009 Å, I 16
- 23.11°, 3.848 Å, I 32
- 27.52°, 3.241 Å, I 100
- 29.74°, 3.004 Å, I 18
- 38.00°, 2.368 Å, I 18
- 40.60°, 2.222 Å, I 23
- 49.76°, 1.832 Å, I 20
- 51.13°, 1.786 Å, I 25
- 51.43°, 1.777 Å, I 18
- 66.09°, 1.414 Å, I 17

# 10
Computed XRD peak list
Compound: Tm2BeHPt6
Radiation: Cu Kα (weighted mean of Kα1 and Kα2)
Structure: a crystal structure in Alexandria, relaxed with PBE

Structural model:
Cell: 5.7059 5.7177 6.4009 Å, 63.72 63.87 60.08°
Fractional positions:
Tm  0.2280  0.2289  0.3163
Tm  0.7720  0.7711  0.6837
Be  0.5000  0.5000  0.5000
H  0.0000  0.0000  0.0000
Pt  0.2391  0.7331  0.7883
Pt  0.2397  0.2384  0.7878
Pt  0.2642  0.7620  0.2134
Pt  0.7358  0.2380  0.7866
Pt  0.7603  0.7616  0.2122
Pt  0.7609  0.2669  0.2117

Largest 10 diffraction maxima, sorted by position, 10° ≤ 2θ ≤ 80°:
- 32.53°, 2.752 Å, I 65
- 37.92°, 2.373 Å, I 100
- 38.05°, 2.365 Å, I 49
- 42.54°, 2.125 Å, I 70
- 42.71°, 2.117 Å, I 33
- 58.10°, 1.588 Å, I 16
- 58.39°, 1.580 Å, I 10
- 65.27°, 1.430 Å, I 22
- 65.43°, 1.426 Å, I 11
- 74.75°, 1.270 Å, I 17

# 11
Computed XRD peak list
Compound: PuBe3H9
Radiation: Cu Kα (weighted mean of Kα1 and Kα2)
Structure: a crystal structure in Alexandria, relaxed with PBE

Structural model:
Cell: 6.2534 6.2534 6.5806 Å, 90.00 90.00 107.06°
Fractional positions:
Pu  0.1601  0.1601  0.0000
Pu  0.8399  0.8399  0.5000
Be  0.2462  0.2462  0.5000
Be  0.3082  0.6559  0.5572
Be  0.3441  0.6918  0.9428
Be  0.6559  0.3082  0.4428
Be  0.6918  0.3441  0.0572
Be  0.7538  0.7538  0.0000
H  0.0885  0.1422  0.6585
H  0.1422  0.0885  0.3415
H  0.1470  0.7698  0.5691
H  0.2019  0.5123  0.0517
H  0.2257  0.4563  0.4353
H  0.2302  0.8530  0.9309
H  0.4005  0.5995  0.7500
H  0.4563  0.2257  0.5647
H  0.4877  0.7981  0.4483
H  0.5123  0.2019  0.9483
H  0.5437  0.7743  0.0647
H  0.5995  0.4005  0.2500
H  0.7698  0.1470  0.4309
H  0.7743  0.5437  0.9353
H  0.7981  0.4877  0.5517
H  0.8530  0.2302  0.0691
H  0.8578  0.9115  0.8415
H  0.9115  0.8578  0.1585

Largest 10 diffraction maxima, sorted by position, 10° ≤ 2θ ≤ 80°:
- 14.82°, 5.978 Å, I 39
- 17.64°, 5.029 Å, I 52
- 20.07°, 4.425 Å, I 100
- 27.10°, 3.290 Å, I 23
- 27.56°, 3.237 Å, I 30
- 32.30°, 2.772 Å, I 32
- 32.52°, 2.753 Å, I 23
- 32.91°, 2.722 Å, I 37
- 37.37°, 2.406 Å, I 17
- 46.77°, 1.942 Å, I 20

# 12
Computed XRD peak list
Compound: PuBe2H8Rh
Radiation: Cu Kα (weighted mean of Kα1 and Kα2)
Structure: a crystal structure in Alexandria, relaxed with PBE

Structural model:
Cell: 6.3937 6.3937 6.3937 Å, 38.26 38.26 38.26°
Fractional positions:
Pu  0.0000  0.0000  0.0000
Be  0.2326  0.2326  0.2326
Be  0.7674  0.7674  0.7674
H  0.1250  0.7863  0.4099
H  0.2137  0.5901  0.8750
H  0.3167  0.3167  0.3167
H  0.4099  0.1250  0.7863
H  0.5901  0.8750  0.2137
H  0.6833  0.6833  0.6833
H  0.7863  0.4099  0.1250
H  0.8750  0.2137  0.5901
Rh  0.5000  0.5000  0.5000

Largest 10 diffraction maxima, sorted by position, 10° ≤ 2θ ≤ 80°:
- 25.04°, 3.556 Å, I 17
- 26.53°, 3.359 Å, I 100
- 30.20°, 2.959 Å, I 24
- 31.85°, 2.810 Å, I 73
- 43.17°, 2.095 Å, I 32
- 48.05°, 1.893 Å, I 23
- 51.39°, 1.778 Å, I 17
- 53.59°, 1.710 Å, I 31
- 54.64°, 1.680 Å, I 16
- 79.23°, 1.209 Å, I 16